1.
Theoretical XRD peak list
Compound: CsZn2BCl2O3
Radiation: Cu Ka
Structure: DFT lattice parameters and positions (PBE)
Intensities are scaled so that the largest is 100.

Atomic structure:
a b c (Å): 9.858 9.858 9.858
angles (deg): 29.50 29.50 29.50
Element x y z (fractional)
Cs 0.000 0.000 0.000
Zn 0.192 0.192 0.192
Zn 0.808 0.808 0.808
B 0.500 0.500 0.500
Cl 0.272 0.272 0.272
Cl 0.728 0.728 0.728
O 0.225 0.500 0.775
O 0.500 0.775 0.225
O 0.775 0.225 0.500

The 10 most intense peaks (2θ = 10–90°), by intensity:
d/Å  Rel. int.
3.703  100
2.510  73
3.446  62
2.213  61
4.297  59
4.711  57
2.370  37
1.384  26
1.507  24
2.029  19

2.
Theoretical XRD peak list
Compound: Dy4BI3Cl2
Radiation: Cu Ka
Structure: DFT lattice parameters and positions (PBE)
Intensities are scaled so that the largest is 100.

Atomic structure:
a b c (Å): 9.428 9.428 8.511
angles (deg): 99.48 99.48 24.40
Element x y z (fractional)
Dy 0.002 0.002 0.303
Dy 0.363 0.363 0.433
Dy 0.637 0.637 0.567
Dy 0.998 0.998 0.697
B 0.500 0.500 0.500
I 0.176 0.176 0.312
I 0.500 0.500 0.000
I 0.824 0.824 0.688
Cl 0.150 0.150 0.791
Cl 0.850 0.850 0.209

The 10 most intense peaks (2θ = 10–90°), by intensity:
d/Å  Rel. int.
2.906  100
8.389  75
3.028  43
2.683  29
2.655  27
2.052  27
2.143  26
1.993  20
3.198  18
3.000  18

3.
Theoretical XRD peak list
Compound: Dy4BClO7
Radiation: Cu Ka
Structure: DFT lattice parameters and positions (PBE)
Intensities are scaled so that the largest is 100.

Atomic structure:
a b c (Å): 8.564 8.014 12.241
angles (deg): 90.00 120.50 90.00
Element x y z (fractional)
Dy 0.072 0.139 0.421
Dy 0.072 0.361 0.921
Dy 0.078 0.618 0.410
Dy 0.078 0.882 0.910
Dy 0.298 0.125 0.779
Dy 0.298 0.375 0.279
Dy 0.319 0.614 0.781
Dy 0.319 0.886 0.281
Dy 0.681 0.114 0.719
Dy 0.681 0.386 0.219
Dy 0.702 0.625 0.721
Dy 0.702 0.875 0.221
Dy 0.922 0.118 0.090
Dy 0.922 0.382 0.590
Dy 0.928 0.639 0.079
Dy 0.928 0.861 0.579
B 0.369 0.131 0.086
B 0.369 0.369 0.586
B 0.631 0.631 0.414
B 0.631 0.869 0.914
Cl 0.384 0.649 0.033
Cl 0.384 0.851 0.533
Cl 0.616 0.149 0.467
Cl 0.616 0.351 0.967
O 0.038 0.122 0.597
O 0.038 0.378 0.097
O 0.072 0.622 0.592
O 0.072 0.878 0.092
O 0.179 0.117 0.282
O 0.179 0.383 0.782
O 0.192 0.638 0.274
O 0.192 0.862 0.774
O 0.277 0.110 0.956
O 0.277 0.390 0.456
O 0.383 0.210 0.633
O 0.383 0.290 0.133
O 0.434 0.504 0.666
O 0.434 0.996 0.166
O 0.566 0.004 0.834
O 0.566 0.496 0.334
O 0.617 0.710 0.867
O 0.617 0.790 0.367
O 0.723 0.610 0.544
O 0.723 0.890 0.044
O 0.808 0.138 0.226
O 0.808 0.362 0.726
O 0.821 0.617 0.218
O 0.821 0.883 0.718
O 0.928 0.122 0.908
O 0.928 0.378 0.408
O 0.962 0.622 0.903
O 0.962 0.878 0.403

The 10 most intense peaks (2θ = 10–90°), by intensity:
d/Å  Rel. int.
2.903  100
2.975  63
2.643  59
3.527  42
3.613  39
1.768  28
1.905  27
7.380  27
2.855  25
2.004  24

4.
Theoretical XRD peak list
Compound: Er4BClO7
Radiation: Cu Ka
Structure: DFT lattice parameters and positions (PBE)
Intensities are scaled so that the largest is 100.

Atomic structure:
a b c (Å): 8.470 7.938 12.092
angles (deg): 90.00 119.79 90.00
Element x y z (fractional)
Er 0.069 0.139 0.419
Er 0.069 0.361 0.919
Er 0.075 0.618 0.408
Er 0.075 0.882 0.908
Er 0.298 0.125 0.779
Er 0.298 0.375 0.279
Er 0.319 0.614 0.780
Er 0.319 0.886 0.280
Er 0.681 0.114 0.720
Er 0.681 0.386 0.220
Er 0.702 0.625 0.721
Er 0.702 0.875 0.221
Er 0.925 0.118 0.092
Er 0.925 0.382 0.592
Er 0.931 0.639 0.081
Er 0.931 0.861 0.581
B 0.369 0.131 0.086
B 0.369 0.369 0.586
B 0.631 0.631 0.414
B 0.631 0.869 0.914
Cl 0.381 0.650 0.032
Cl 0.381 0.850 0.532
Cl 0.619 0.150 0.468
Cl 0.619 0.350 0.968
O 0.040 0.122 0.597
O 0.040 0.378 0.097
O 0.074 0.622 0.593
O 0.074 0.878 0.093
O 0.180 0.117 0.283
O 0.180 0.383 0.783
O 0.191 0.638 0.274
O 0.191 0.862 0.774
O 0.273 0.110 0.956
O 0.273 0.390 0.456
O 0.385 0.208 0.633
O 0.385 0.292 0.133
O 0.437 0.504 0.666
O 0.437 0.996 0.166
O 0.563 0.004 0.834
O 0.563 0.496 0.334
O 0.615 0.708 0.867
O 0.615 0.792 0.367
O 0.727 0.610 0.544
O 0.727 0.890 0.044
O 0.809 0.138 0.226
O 0.809 0.362 0.726
O 0.820 0.617 0.217
O 0.820 0.883 0.717
O 0.926 0.122 0.907
O 0.926 0.378 0.407
O 0.960 0.622 0.903
O 0.960 0.878 0.403

The 10 most intense peaks (2θ = 10–90°), by intensity:
d/Å  Rel. int.
2.877  100
2.933  62
2.624  60
3.523  41
3.576  39
7.351  29
1.743  27
1.898  26
2.486  23
1.984  23

5.
Theoretical XRD peak list
Compound: Er2B2Cl2O5
Radiation: Cu Ka
Structure: DFT lattice parameters and positions (PBE)
Intensities are scaled so that the largest is 100.

Atomic structure:
a b c (Å): 10.018 14.815 5.212
angles (deg): 90.00 90.00 90.00
Element x y z (fractional)
Er 0.031 0.121 0.000
Er 0.069 0.609 0.000
Er 0.431 0.109 0.000
Er 0.469 0.621 0.000
Er 0.531 0.379 0.000
Er 0.569 0.891 0.000
Er 0.931 0.391 0.000
Er 0.969 0.879 0.000
B 0.198 0.267 0.000
B 0.245 0.935 0.000
B 0.255 0.435 0.000
B 0.302 0.767 0.000
B 0.698 0.233 0.000
B 0.745 0.565 0.000
B 0.755 0.065 0.000
B 0.802 0.733 0.000
Cl 0.007 0.131 0.500
Cl 0.087 0.610 0.500
Cl 0.413 0.110 0.500
Cl 0.493 0.631 0.500
Cl 0.507 0.369 0.500
Cl 0.587 0.890 0.500
Cl 0.913 0.390 0.500
Cl 0.993 0.869 0.500
O 0.062 0.276 0.000
O 0.128 0.464 0.000
O 0.133 0.988 0.000
O 0.212 0.841 0.000
O 0.244 0.181 0.000
O 0.256 0.681 0.000
O 0.288 0.341 0.000
O 0.367 0.488 0.000
O 0.372 0.964 0.000
O 0.438 0.776 0.000
O 0.562 0.224 0.000
O 0.628 0.036 0.000
O 0.633 0.512 0.000
O 0.712 0.659 0.000
O 0.744 0.319 0.000
O 0.756 0.819 0.000
O 0.788 0.159 0.000
O 0.867 0.012 0.000
O 0.872 0.536 0.000
O 0.938 0.724 0.000

The 10 most intense peaks (2θ = 10–90°), by intensity:
d/Å  Rel. int.
5.212  100
5.009  51
3.704  41
2.606  33
3.044  32
2.978  31
2.629  22
5.956  20
1.961  19
1.980  18

6.
Theoretical XRD peak list
Compound: Nd2B5H2ClO10
Radiation: Cu Ka
Structure: DFT lattice parameters and positions (PBE)
Intensities are scaled so that the largest is 100.

Atomic structure:
a b c (Å): 6.414 6.487 6.520
angles (deg): 61.30 74.85 62.01
Element x y z (fractional)
Nd 0.000 0.000 0.000
Nd 0.383 0.902 0.457
B 0.043 0.511 0.566
B 0.496 0.377 0.480
B 0.830 0.973 0.501
B 0.900 0.376 0.345
B 0.941 0.616 0.897
H 0.426 0.058 0.007
H 0.467 0.299 0.991
Cl 0.441 0.629 0.942
O 0.056 0.310 0.517
O 0.271 0.535 0.516
O 0.543 0.108 0.044
O 0.571 0.132 0.501
O 0.653 0.486 0.425
O 0.865 0.773 0.435
O 0.921 0.862 0.734
O 0.942 0.571 0.122
O 0.954 0.135 0.329
O 0.983 0.437 0.821

The 10 most intense peaks (2θ = 10–90°), by intensity:
d/Å  Rel. int.
2.858  100
5.199  91
3.146  84
4.116  62
3.122  59
2.829  54
2.092  48
3.930  48
2.764  48
4.991  46